Diffraction record for MoO2. The X-ray diffraction stick pattern is calculated, not measured: it uses a PBE+U-relaxed structure and Cu Kα (λ = 1.5418 Å).

```
data_MoO2
_symmetry_space_group_name_H-M 'P n m a'
_symmetry_Int_Tables_number 62
_cell_length_a 9.1601
_cell_length_b 3.2845
_cell_length_c 11.1055
_cell_angle_alpha 90.00
_cell_angle_beta 90.00
_cell_angle_gamma 90.00
loop_
_symmetry_equiv_pos_as_xyz
'x,y,z'
'-x,-y,-z'
'-x+1/2,-y,z+1/2'
'x+1/2,y,-z+1/2'
'x+1/2,-y+1/2,-z+1/2'
'-x+1/2,y+1/2,z+1/2'
'-x,y+1/2,-z'
'x,-y+1/2,z'
loop_
_atom_site_label
_atom_site_fract_x
_atom_site_fract_y
_atom_site_fract_z
_atom_site_occupancy
Mo1 0.0626 0.2500 0.1153 1
Mo2 0.0801 0.2500 0.6081 1
O1 0.0020 0.7500 0.2224 1
O2 0.0610 0.2500 0.4275 1
O3 0.1080 0.7500 0.9987 1
O4 0.2192 0.7500 0.6411 1
```

Peak list (10 most intense, 5° ≤ 2θ ≤ 70°, by angle)
2θ (°)	I_rel
18.69	84
19.38	82
32.24	35
33.16	100
33.53	94
47.24	37
48.46	30
56.00	15
58.08	23
59.41	29